Starting from DFT lattice parameters and positions (PBE), the powder diffractogram of Mg6ZnCr was calculated for Cu Kα X-rays.
Lines closer than 0.1° are merged.

Crystal structure
```
data_Mg6ZnCr
_chemical_formula_sum 'Mg12 Zn2 Cr2'
_cell_length_a 4.949
_cell_length_b 6.194
_cell_length_c 10.689
_cell_angle_alpha 90.00
_cell_angle_beta 90.00
_cell_angle_gamma 90.00
_symmetry_space_group_name_H-M 'A m m 2'
_symmetry_Int_Tables_number 38
_symmetry_space_group_name_Hall 'A 2 -2'
loop_
_atom_site_label
_atom_site_fract_x
_atom_site_fract_y
_atom_site_fract_z
Mg1 0.000 0.000 0.000
Mg2 0.000 0.244 0.251
Mg3 0.500 0.000 0.833
Mg4 0.500 0.244 0.579
Zn1 0.500 0.000 0.339
Cr1 0.000 0.000 0.497
```

Principal peaks in the range 10 to 90 degrees two-theta, in order of rising 2θ:
- 16.55°, I 27, (0 1 1)
- 24.50°, I 11, (1 0 2)
- 33.47°, I 25, (0 2 2)
- 36.30°, I 26, (2 0 0)
- 38.22°, I 100, (1 0 4)
- 50.20°, I 15, (2 2 2)
- 66.58°, I 18, (3 0 4)
- 72.09°, I 12, (2 2 6)

=====

Starting from DFT lattice parameters and positions (PBE), the powder diffractogram of Mg6ZnCr was calculated for Cu Kα X-rays.
Lines closer than 0.1° are merged.

Crystal structure
```
data_Mg6ZnCr
_chemical_formula_sum 'Mg12 Zn2 Cr2'
_cell_length_a 4.966
_cell_length_b 6.168
_cell_length_c 10.732
_cell_angle_alpha 90.00
_cell_angle_beta 90.00
_cell_angle_gamma 90.00
_symmetry_space_group_name_H-M 'A m m 2'
_symmetry_Int_Tables_number 38
_symmetry_space_group_name_Hall 'A 2 -2'
loop_
_atom_site_label
_atom_site_fract_x
_atom_site_fract_y
_atom_site_fract_z
Mg1 0.000 0.000 0.000
Mg2 0.000 0.000 0.499
Mg3 0.000 0.248 0.256
Mg4 0.500 0.248 0.586
Zn1 0.500 0.000 0.835
Cr1 0.500 0.000 0.337
```

Principal peaks in the range 10 to 90 degrees two-theta, in order of rising 2θ:
- 16.52°, I 22, (0 0 2)
- 33.52°, I 29, (0 2 2)
- 36.17°, I 38, (2 0 0)
- 38.12°, I 50, (1 0 4)
- 38.23°, I 100, (1 2 2)
- 50.11°, I 26, (2 0 4)
- 66.40°, I 27, (3 2 2)
- 71.90°, I 18, (2 2 6)

=====

Starting from DFT lattice parameters and positions (PBE), the powder diffractogram of Mg14ZnCr was calculated for Cu Kα X-rays.
Lines closer than 0.1° are merged.

Crystal structure
```
data_Mg14ZnCr
_chemical_formula_sum 'Mg28 Zn2 Cr2'
_cell_length_a 10.167
_cell_length_b 6.268
_cell_length_c 10.852
_cell_angle_alpha 90.00
_cell_angle_beta 90.00
_cell_angle_gamma 90.00
_symmetry_space_group_name_H-M 'A m m 2'
_symmetry_Int_Tables_number 38
_symmetry_space_group_name_Hall 'A 2 -2'
loop_
_atom_site_label
_atom_site_fract_x
_atom_site_fract_y
_atom_site_fract_z
Mg1 0.000 0.000 0.000
Mg2 0.000 0.000 0.500
Mg3 0.000 0.250 0.251
Mg4 0.252 0.000 0.165
Mg5 0.253 0.000 0.666
Mg6 0.259 0.250 0.420
Mg7 0.500 0.248 0.249
Zn1 0.500 0.000 0.499
Cr1 0.500 0.000 0.000
```

Principal peaks in the range 10 to 90 degrees two-theta, in order of rising 2θ:
- 33.01°, I 26, (0 0 4)
- 35.31°, I 26, (4 0 0)
- 37.57°, I 100, (2 2 2)
- 49.11°, I 16, (4 0 4)
- 58.95°, I 17, (0 4 0)
- 64.87°, I 18, (6 2 2)
- 70.63°, I 18, (4 4 0)
- 72.04°, I 13, (2 0 8)

=====

Starting from DFT lattice parameters and positions (PBE), the powder diffractogram of Mg14ZnCr was calculated for Cu Kα X-rays.
Lines closer than 0.1° are merged.

Crystal structure
```
data_Mg14ZnCr
_chemical_formula_sum 'Mg14 Zn1 Cr1'
_cell_length_a 6.2827
_cell_length_b 6.2827
_cell_length_c 10.1460
_cell_angle_alpha 90.00
_cell_angle_beta 90.00
_cell_angle_gamma 120.00
_symmetry_space_group_name_H-M 'P -6 m 2'
_symmetry_Int_Tables_number 187
_symmetry_space_group_name_Hall 'P -6 2'
loop_
_atom_site_label
_atom_site_fract_x
_atom_site_fract_y
_atom_site_fract_z
Mg1 0.0000 0.0000 0.2495
Mg2 0.0055 0.5027 0.2497
Mg3 0.3322 0.1661 0.0000
Mg4 0.3343 0.1671 0.5000
Zn1 0.3333 0.6667 0.0000
Cr1 0.3333 0.6667 0.5000
```

Principal peaks in the range 10 to 90 degrees two-theta, in order of rising 2θ:
- 16.29°, I 13, (1 0 0)
- 32.92°, I 26, (2 0 0)
- 35.39°, I 26, (0 0 4)
- 37.51°, I 100, (2 0 2)
- 49.11°, I 16, (2 0 4)
- 58.79°, I 17, (2 2 0)
- 64.93°, I 18, (2 0 6)
- 70.52°, I 19, (2 2 4)

=====

Starting from DFT lattice parameters and positions (PBE), the powder diffractogram of MnCr was calculated for Cu Kα X-rays.
Lines closer than 0.1° are merged.

Crystal structure
```
data_MnCr
_chemical_formula_sum 'Mn2 Cr2'
_cell_length_a 2.829
_cell_length_b 4.034
_cell_length_c 3.985
_cell_angle_alpha 90.00
_cell_angle_beta 90.00
_cell_angle_gamma 90.00
_symmetry_space_group_name_H-M 'C m m m'
_symmetry_Int_Tables_number 65
_symmetry_space_group_name_Hall '-C 2 2'
loop_
_atom_site_label
_atom_site_fract_x
_atom_site_fract_y
_atom_site_fract_z
Mn1 0.000 0.000 0.000
Cr1 0.000 0.500 0.500
```

Principal peaks in the range 10 to 90 degrees two-theta, in order of rising 2θ:
- 44.94°, I 26, (0 2 0)
- 45.29°, I 100, (1 1 1)
- 45.53°, I 25, (0 0 2)
- 65.89°, I 14, (0 2 2)
- 66.06°, I 7, (2 0 0)
- 83.15°, I 14, (1 3 1)
- 83.47°, I 7, (2 2 0)
- 83.96°, I 21, (2 0 2)

=====

Starting from DFT lattice parameters and positions (PBE), the powder diffractogram of Mn2CrN3 was calculated for Cu Kα X-rays.
Lines closer than 0.1° are merged.

Crystal structure
```
data_Mn2CrN3
_chemical_formula_sum 'Mn8 Cr4 N12'
_cell_length_a 9.235
_cell_length_b 5.046
_cell_length_c 5.041
_cell_angle_alpha 90.00
_cell_angle_beta 90.00
_cell_angle_gamma 90.00
_symmetry_space_group_name_H-M 'C m c 21'
_symmetry_Int_Tables_number 36
_symmetry_space_group_name_Hall 'C 2c -2'
loop_
_atom_site_label
_atom_site_fract_x
_atom_site_fract_y
_atom_site_fract_z
Mn1 0.188 0.178 0.000
Cr1 0.000 0.341 0.558
N1 0.000 0.315 0.928
N2 0.146 0.166 0.363
```

Principal peaks in the range 10 to 90 degrees two-theta, in order of rising 2θ:
- 34.12°, I 45, (3 1 0)
- 35.61°, I 88, (0 0 2)
- 38.64°, I 100, (3 1 1)
- 39.96°, I 46, (0 2 1)
- 50.15°, I 15, (3 1 2)
- 62.98°, I 26, (3 3 0)
- 65.99°, I 25, (3 1 3)
- 74.50°, I 18, (3 3 2)

=====

Starting from DFT lattice parameters and positions (PBE), the powder diffractogram of MnCrN2 was calculated for Cu Kα X-rays.
Lines closer than 0.1° are merged.

Crystal structure
```
data_MnCrN2
_chemical_formula_sum 'Mn4 Cr4 N8'
_cell_length_a 5.084
_cell_length_b 6.158
_cell_length_c 4.947
_cell_angle_alpha 90.00
_cell_angle_beta 90.00
_cell_angle_gamma 90.00
_symmetry_space_group_name_H-M 'P n a 21'
_symmetry_Int_Tables_number 33
_symmetry_space_group_name_Hall 'P 2c -2n'
loop_
_atom_site_label
_atom_site_fract_x
_atom_site_fract_y
_atom_site_fract_z
Mn1 0.070 0.114 0.000
Cr1 0.093 0.646 0.090
N1 0.071 0.607 0.464
N2 0.086 0.141 0.389
```

Principal peaks in the range 10 to 90 degrees two-theta, in order of rising 2θ:
- 34.04°, I 55, (1 2 0)
- 35.31°, I 30, (2 0 0)
- 36.32°, I 52, (0 0 2)
- 38.73°, I 100, (1 2 1)
- 39.87°, I 47, (2 0 1)
- 60.10°, I 16, (0 4 0)
- 62.56°, I 30, (3 2 0)
- 74.55°, I 29, (3 2 2)

=====

Starting from DFT lattice parameters and positions (PBE), the powder diffractogram of MnCrN2 was calculated for Cu Kα X-rays.
Lines closer than 0.1° are merged.

Crystal structure
```
data_MnCrN2
_chemical_formula_sum 'Mn2 Cr2 N4'
_cell_length_a 4.768
_cell_length_b 2.756
_cell_length_c 5.333
_cell_angle_alpha 90.00
_cell_angle_beta 107.43
_cell_angle_gamma 90.00
_symmetry_space_group_name_H-M 'C 1 m 1'
_symmetry_Int_Tables_number 8
_symmetry_space_group_name_Hall 'C -2y'
loop_
_atom_site_label
_atom_site_fract_x
_atom_site_fract_y
_atom_site_fract_z
Mn1 0.000 0.000 0.000
Cr1 0.334 0.500 0.502
N1 0.084 0.500 0.750
N2 0.420 0.000 0.259
```

Principal peaks in the range 10 to 90 degrees two-theta, in order of rising 2θ:
- 35.28°, I 47, (0 0 2)
- 38.19°, I 95, (1 1 0)
- 39.58°, I 59, (2 0 0)
- 44.81°, I 24, (1 1 1)
- 48.43°, I 100, (2 0 1)
- 57.24°, I 58, (1 1 2)
- 68.08°, I 43, (0 2 0)
- 79.03°, I 17, (0 2 2)